(1)
This entry pairs a crystal structure of Se with its simulated powder X-ray diffraction pattern. Radiation: λ = 1.5418 Å (Cu Kα). Structure: a cell relaxed with PBE.
Neutral-atom scattering factors, no anomalous dispersion.

Cell: 7.1092 8.3629 10.8133 Å, 90.00 90.00 90.00°
Space group P2_12_12_1 (No. 19)
Unique sites:
Se 0.0552 0.0445 0.0414
Se 0.1226 0.5999 0.1166
Se 0.2216 0.8600 0.1673
Se 0.2352 0.5172 0.9203

Top 10 peaks for 15° ≤ 2θ ≤ 90°, in order of rising 2θ:
| d_spacing | Rel. int. | hkl |
| --- | --- | --- |
| 5.411 | 62 | 0 0 2 |
| 4.843 | 100 | 1 1 1 |
| 4.540 | 53 | 0 1 2 |
| 4.181 | 73 | 0 2 0 |
| 3.377 | 65 | 2 0 1 |
| 3.309 | 78 | 0 2 2 |
| 3.000 | 50 | 1 1 3 |
| 2.627 | 41 | 2 2 1 |
| 1.881 | 39 | 1 4 2 |
| 1.711 | 38 | 1 1 6 |

=====

(2)
This entry pairs a crystal structure of Se with its simulated powder X-ray diffraction pattern. Radiation: λ = 1.5418 Å (Cu Kα). Structure: a cell relaxed with PBE.
Neutral-atom scattering factors, no anomalous dispersion.

Cell: 12.4566 12.4566 5.8732 Å, 90.00 90.00 90.00°
Space group I4_1/amd (No. 141, origin choice 2)
Unique sites:
Se 0.1761 0.0739 0.3750

Top 10 peaks for 15° ≤ 2θ ≤ 90°, in order of rising 2θ:
| d_spacing | Rel. int. | hkl |
| --- | --- | --- |
| 5.312 | 62 | 1 0 1 |
| 4.404 | 26 | 2 2 0 |
| 4.042 | 23 | 2 1 1 |
| 3.390 | 100 | 3 0 1 |
| 2.978 | 51 | 3 2 1 |
| 2.354 | 29 | 3 1 2 |
| 2.294 | 24 | 5 0 1 |
| 2.076 | 71 | 3 3 2 |
| 1.771 | 41 | 3 0 3 |
| 1.728 | 32 | 5 3 2 |

=====

(3)
This entry pairs a crystal structure of Se with its simulated powder X-ray diffraction pattern. Radiation: λ = 1.5418 Å (Cu Kα). Structure: a cell relaxed with PBE.
Neutral-atom scattering factors, no anomalous dispersion.

Cell: 8.3534 8.3534 4.9512 Å, 90.00 90.00 120.00°
Space group P3_221 (No. 154)
Unique sites:
Se 0.0000 0.8813 0.3333
Se 0.2245 0.5420 0.5785

Top 10 peaks for 15° ≤ 2θ ≤ 90°, in order of rising 2θ:
| d_spacing | Rel. int. | hkl |
| --- | --- | --- |
| 4.177 | 100 | 1 1 0 |
| 3.192 | 90 | 1 1 1 |
| 2.921 | 44 | 0 2 1 |
| 2.394 | 16 | 2 1 1 |
| 2.342 | 14 | 1 0 2 |
| 2.168 | 22 | 0 3 1 |
| 2.043 | 13 | 0 2 2 |
| 1.860 | 29 | 1 3 1 |
| 1.835 | 37 | 2 1 2 |
| 1.609 | 15 | 1 0 3 |

=====

(4)
This entry pairs a crystal structure of Se with its simulated powder X-ray diffraction pattern. Radiation: λ = 1.5418 Å (Cu Kα). Structure: a cell relaxed with PBE.
Neutral-atom scattering factors, no anomalous dispersion.

Cell: 5.1938 5.8075 5.2127 Å, 90.00 90.57 90.00°
Space group P2_1 (No. 4)
Unique sites:
Se 0.0719 0.0000 0.2437
Se 0.2437 0.2494 0.9304

Top 10 peaks for 15° ≤ 2θ ≤ 90°, in order of rising 2θ:
| d_spacing | Rel. int. | hkl |
| --- | --- | --- |
| 5.203 | 76 | 0 0 1 |
| 3.875 | 100 | 1 1 0 |
| 3.119 | 39 | 1 1 -1 |
| 3.097 | 39 | 1 1 1 |
| 2.536 | 20 | 0 2 1 |
| 2.315 | 14 | 2 0 1 |
| 1.940 | 16 | 0 2 2 |
| 1.936 | 16 | 2 2 0 |
| 1.819 | 15 | 2 2 -1 |
| 1.813 | 26 | 1 2 2 |

=====

(5)
This entry pairs a crystal structure of SiSe with its simulated powder X-ray diffraction pattern. Radiation: λ = 1.5418 Å (Cu Kα). Structure: a cell relaxed with PBE.
Neutral-atom scattering factors, no anomalous dispersion.

Cell: 3.5286 15.4030 4.0242 Å, 90.00 90.00 90.00°
Space group Cmc2_1 (No. 36)
Unique sites:
Si 0.0000 0.0414 0.0000
Se 0.0000 0.3616 0.5522

Top 10 peaks for 15° ≤ 2θ ≤ 90°, in order of rising 2θ:
| d_spacing | Rel. int. | hkl |
| --- | --- | --- |
| 3.851 | 26 | 0 4 0 |
| 3.567 | 100 | 0 2 1 |
| 2.908 | 54 | 1 3 0 |
| 2.615 | 29 | 1 1 1 |
| 2.011 | 59 | 0 0 2 |
| 1.867 | 13 | 1 7 0 |
| 1.737 | 11 | 0 8 1 |
| 1.655 | 18 | 1 3 2 |
| 1.582 | 19 | 2 2 1 |
| 1.368 | 12 | 1 7 2 |

=====

(6)
This entry pairs a crystal structure of SiSe2 with its simulated powder X-ray diffraction pattern. Radiation: λ = 1.5418 Å (Cu Kα). Structure: a cell relaxed with PBE.
Neutral-atom scattering factors, no anomalous dispersion.

Cell: 5.7579 6.2427 3.5557 Å, 90.00 90.00 90.00°
Space group Pnnm (No. 58)
Unique sites:
Si 0.0000 0.0000 0.0000
Se 0.2404 0.1461 0.5000

Top 10 peaks for 15° ≤ 2θ ≤ 90°, in order of rising 2θ:
| d_spacing | Rel. int. | hkl |
| --- | --- | --- |
| 3.090 | 20 | 0 1 1 |
| 2.879 | 31 | 2 0 0 |
| 2.744 | 75 | 1 2 0 |
| 2.722 | 100 | 1 1 1 |
| 2.106 | 46 | 2 1 1 |
| 1.796 | 28 | 0 3 1 |
| 1.778 | 15 | 0 0 2 |
| 1.635 | 15 | 3 2 0 |
| 1.630 | 20 | 3 1 1 |
| 1.492 | 23 | 1 2 2 |

=====

(7)
This entry pairs a crystal structure of SiSe with its simulated powder X-ray diffraction pattern. Radiation: λ = 1.5418 Å (Cu Kα). Structure: a cell relaxed with PBE.
Neutral-atom scattering factors, no anomalous dispersion.

Cell: 3.6184 3.6184 24.7418 Å, 90.00 90.00 120.00°
Space group P-3m1 (No. 164)
Unique sites:
Si 0.0000 0.0000 0.2009
Si 0.3333 0.6667 0.1351
Si 0.3333 0.6667 0.4671
Se 0.0000 0.0000 0.4133
Se 0.3333 0.6667 0.7453
Se 0.3333 0.6667 0.9187

Top 10 peaks for 15° ≤ 2θ ≤ 90°, in order of rising 2θ:
| d_spacing | Rel. int. | hkl |
| --- | --- | --- |
| 4.124 | 65 | 0 0 6 |
| 3.109 | 61 | 0 1 1 |
| 2.795 | 39 | 0 1 4 |
| 2.647 | 100 | 1 0 5 |
| 2.345 | 31 | 0 1 7 |
| 1.942 | 23 | 0 1 10 |
| 1.827 | 26 | 1 0 11 |
| 1.809 | 47 | 1 1 0 |
| 1.657 | 29 | 1 1 6 |
| 1.494 | 17 | 0 2 5 |

=====

(8)
This entry pairs a crystal structure of Si3Se5 with its simulated powder X-ray diffraction pattern. Radiation: λ = 1.5418 Å (Cu Kα). Structure: a cell relaxed with PBE.
Neutral-atom scattering factors, no anomalous dispersion.

Cell: 6.2803 16.8021 9.2571 Å, 90.00 108.41 90.00°
Space group Cm (No. 8)
Unique sites:
Si 0.0000 0.0000 0.0000
Si 0.0007 0.5000 0.2119
Si 0.1137 0.1834 0.0606
Si 0.2380 0.4046 0.6643
Se 0.0605 0.2960 0.6002
Se 0.0899 0.5000 0.7926
Se 0.1225 0.1071 0.8464
Se 0.2486 0.3119 0.0755
Se 0.2711 0.1053 0.2708
Se 0.3140 0.5000 0.4896

Top 10 peaks for 15° ≤ 2θ ≤ 90°, in order of rising 2θ:
| d_spacing | Rel. int. | hkl |
| --- | --- | --- |
| 5.539 | 86 | 1 1 -1 |
| 3.892 | 89 | 0 2 2 |
| 3.376 | 77 | 1 3 -2 |
| 3.139 | 57 | 2 0 -1 |
| 3.047 | 65 | 1 1 2 |
| 2.982 | 45 | 2 0 0 |
| 2.927 | 100 | 1 5 0 |
| 2.668 | 41 | 1 3 -3 |
| 1.779 | 42 | 2 0 -5 |
| 1.771 | 49 | 3 5 -1 |

=====

What did the fifth record say?
This entry pairs a crystal structure of SiSe with its simulated powder X-ray diffraction pattern. Radiation: λ = 1.5418 Å (Cu Kα). Structure: a cell relaxed with PBE.
Neutral-atom scattering factors, no anomalous dispersion.

Cell: 3.5286 15.4030 4.0242 Å, 90.00 90.00 90.00°
Space group Cmc2_1 (No. 36)
Unique sites:
Si 0.0000 0.0414 0.0000
Se 0.0000 0.3616 0.5522

Top 10 peaks for 15° ≤ 2θ ≤ 90°, in order of rising 2θ:
| d_spacing | Rel. int. | hkl |
| --- | --- | --- |
| 3.851 | 26 | 0 4 0 |
| 3.567 | 100 | 0 2 1 |
| 2.908 | 54 | 1 3 0 |
| 2.615 | 29 | 1 1 1 |
| 2.011 | 59 | 0 0 2 |
| 1.867 | 13 | 1 7 0 |
| 1.737 | 11 | 0 8 1 |
| 1.655 | 18 | 1 3 2 |
| 1.582 | 19 | 2 2 1 |
| 1.368 | 12 | 1 7 2 |

=====

- What is the formula in the fifth record?
  SiSe